The following is a theoretical PXRD pattern of Cs3Sb2Te2. It was derived from a structure optimized by DFT (GGA-PBE), using Cu Kα (λ = 1.5418 Å).
Neutral-atom scattering factors, no anomalous dispersion.

Peak list (12 most intense, 5 to 70 degrees two-theta, low angle first)
| two_theta | I (rel.) |
| --- | --- |
| 23.41 | 100 |
| 26.10 | 80 |
| 27.74 | 39 |
| 30.20 | 48 |
| 31.79 | 41 |
| 33.84 | 16 |
| 33.98 | 33 |
| 41.58 | 45 |
| 42.09 | 18 |
| 44.42 | 32 |
| 46.09 | 28 |
| 52.67 | 19 |

a = 11.2212 Å, b = 11.2212 Å, c = 11.2212 Å
α = 150.94°, β = 149.42°, γ = 42.69°
Fractional positions:
Cs  0.0000  0.0000  0.0000
Cs  0.1834  0.6834  0.5000
Cs  0.8166  0.3166  0.5000
Sb  0.4299  0.4299  0.0000
Sb  0.5701  0.5701  0.0000
Te  0.3740  0.8740  0.5000
Te  0.6260  0.1260  0.5000